Diffraction record for Na3Pm3ZrS8. The powder XRD pattern is theoretical, not measured: it uses a cell relaxed with PBE and a wavelength of 1.5418 Å.
Kinematic intensities with the Lorentz-polarization factor, no thermal factor.

Crystal structure
Cell: 8.0592 8.0592 20.2169 Å, 90.00 90.00 120.00°
Space group R-3m (No. 166, hexagonal axes)
Inequivalent atoms, fractional coordinates:
Na 0.0000 0.5000 0.0000 [9 per cell]
Pm 0.0000 0.5000 0.5000 [9 per cell]
Zr 0.0000 0.0000 0.5000 [3 per cell]
S 0.0000 0.0000 0.2443 [6 per cell]
S 0.0234 0.5117 0.2395 [18 per cell]

Main lines, by angle (10 to 80 degrees two-theta):
d (Å), 2θ/deg, I_rel
6.739, 13.14, 90
3.439, 25.91, 42
3.299, 27.03, 22
2.872, 31.14, 100
2.642, 33.93, 16
2.225, 40.54, 20
2.047, 44.25, 35
2.015, 44.99, 34
1.930, 47.08, 21
1.649, 55.73, 17